[1]
Diffraction record for Pr2ThSn3. The XRD peak list is calculated, not measured: it uses a cell relaxed with GGA-PBE and Cu Kα, 1.54184 Å.

Peak list (6 most intense, 15 to 90 degrees two-theta, by intensity)
27.7 deg, d = 3.217 Å, I = 100; 39.5 deg, d = 2.282 Å, I = 39; 39.7 deg, d = 2.268 Å, I = 39; 64.6 deg, d = 1.442 Å, I = 19; 65.0 deg, d = 1.435 Å, I = 19; 48.9 deg, d = 1.862 Å, I = 14

Structural model:
Cell: 7.9077 7.9077 7.8445 Å, 99.68 99.68 120.10°
Atoms (fractional coordinates):
Pr1 0.0831 0.9169 0.7500
Pr2 0.2484 0.7516 0.2500
Pr3 0.7516 0.2484 0.7500
Pr4 0.9169 0.0831 0.2500
Th1 0.4155 0.5845 0.7500
Th2 0.5845 0.4155 0.2500
Sn1 0.0000 0.5000 0.5000
Sn2 0.1720 0.3365 0.0010
Sn3 0.3365 0.1720 0.5010
Sn4 0.5000 0.0000 0.0000
Sn5 0.6635 0.8280 0.4990
Sn6 0.8280 0.6635 0.9990


[2]
Diffraction record for Pr5ThSn3. The XRD peak list is calculated, not measured: it uses a cell relaxed with GGA-PBE and Cu Kα, 1.54184 Å.

Peak list (6 most intense, 15 to 90 degrees two-theta, by intensity)
31.8 deg, d = 2.811 Å, I = 100; 32.3 deg, d = 2.772 Å, I = 93; 57.0 deg, d = 1.615 Å, I = 37; 46.0 deg, d = 1.974 Å, I = 35; 64.4 deg, d = 1.446 Å, I = 27; 56.7 deg, d = 1.623 Å, I = 20

Structural model:
Cell: 9.7378 9.7378 6.7442 Å, 90.00 90.00 120.00°
Atoms (fractional coordinates):
Pr1 0.0000 0.3306 0.2500
Pr2 0.0000 0.6694 0.7500
Pr3 0.3306 0.0000 0.2500
Pr4 0.3306 0.3306 0.7500
Pr5 0.3333 0.6667 0.0000
Pr6 0.3333 0.6667 0.5000
Pr7 0.6667 0.3333 0.0000
Pr8 0.6667 0.3333 0.5000
Pr9 0.6694 0.0000 0.7500
Pr10 0.6694 0.6694 0.2500
Th1 0.0000 0.0000 0.0000
Th2 0.0000 0.0000 0.5000
Sn1 0.0000 0.3322 0.7500
Sn2 0.0000 0.6678 0.2500
Sn3 0.3322 0.0000 0.7500
Sn4 0.3322 0.3322 0.2500
Sn5 0.6678 0.0000 0.2500
Sn6 0.6678 0.6678 0.7500


[3]
Diffraction record for Pr2Tl3Sn3. The XRD peak list is calculated, not measured: it uses a cell relaxed with GGA-PBE and Cu Kα, 1.54184 Å.

Peak list (6 most intense, 15 to 90 degrees two-theta, by intensity)
32.2 deg, d = 2.784 Å, I = 100; 36.2 deg, d = 2.480 Å, I = 18; 37.7 deg, d = 2.388 Å, I = 16; 38.0 deg, d = 2.368 Å, I = 16; 62.6 deg, d = 1.484 Å, I = 15; 64.6 deg, d = 1.444 Å, I = 14

Structural model:
Cell: 4.7370 4.7760 9.9187 Å, 90.00 90.00 90.00°
Atoms (fractional coordinates):
Pr1 0.0000 0.0000 0.2408
Pr2 0.0000 0.0000 0.7592
Tl1 0.0000 0.5000 0.5000
Tl2 0.5000 0.5000 0.2500
Tl3 0.5000 0.5000 0.7500
Sn1 0.0000 0.5000 0.0000
Sn2 0.5000 0.0000 0.0000
Sn3 0.5000 0.0000 0.5000


[4]
Diffraction record for Pr4Tl3Sn. The XRD peak list is calculated, not measured: it uses a cell relaxed with GGA-PBE and Cu Kα, 1.54184 Å.

Peak list (6 most intense, 15 to 90 degrees two-theta, by intensity)
31.6 deg, d = 2.830 Å, I = 100; 34.3 deg, d = 2.612 Å, I = 40; 54.5 deg, d = 1.684 Å, I = 22; 59.7 deg, d = 1.548 Å, I = 17; 59.8 deg, d = 1.546 Å, I = 16; 49.3 deg, d = 1.847 Å, I = 15

Structural model:
Cell: 4.4032 5.2314 10.4364 Å, 90.00 90.00 90.00°
Atoms (fractional coordinates):
Pr1 0.0000 0.0000 0.0000
Pr2 0.0000 0.0000 0.5000
Pr3 0.0000 0.5000 0.2448
Pr4 0.0000 0.5000 0.7552
Tl1 0.5000 0.0000 0.2555
Tl2 0.5000 0.0000 0.7445
Tl3 0.5000 0.5000 0.5000
Sn1 0.5000 0.5000 0.0000


[5]
Diffraction record for PrTm5Sn4. The XRD peak list is calculated, not measured: it uses a cell relaxed with GGA-PBE and Cu Kα, 1.54184 Å.

Peak list (6 most intense, 15 to 90 degrees two-theta, by intensity)
30.2 deg, d = 2.963 Å, I = 100; 36.9 deg, d = 2.437 Å, I = 50; 36.7 deg, d = 2.446 Å, I = 47; 40.1 deg, d = 2.248 Å, I = 43; 31.9 deg, d = 2.804 Å, I = 42; 30.8 deg, d = 2.906 Å, I = 37

Structural model:
Cell: 9.1095 9.1095 7.8808 Å, 102.23 102.23 28.57°
Atoms (fractional coordinates):
Pr1 0.0000 0.0000 0.0000
Tm1 0.0000 0.0000 0.5000
Tm2 0.2909 0.2909 0.6882
Tm3 0.3611 0.3611 0.2773
Tm4 0.6389 0.6389 0.7227
Tm5 0.7091 0.7091 0.3118
Sn1 0.1895 0.1895 0.0136
Sn2 0.4607 0.4607 0.7103
Sn3 0.5393 0.5393 0.2897
Sn4 0.8105 0.8105 0.9864


[6]
Diffraction record for Pr3TmSn12. The XRD peak list is calculated, not measured: it uses a cell relaxed with GGA-PBE and Cu Kα, 1.54184 Å.

Peak list (6 most intense, 15 to 90 degrees two-theta, by intensity)
32.5 deg, d = 2.752 Å, I = 100; 37.6 deg, d = 2.393 Å, I = 34; 64.7 deg, d = 1.442 Å, I = 29; 54.6 deg, d = 1.682 Å, I = 23; 38.1 deg, d = 2.364 Å, I = 16; 65.3 deg, d = 1.429 Å, I = 13

Structural model:
Cell: 4.7865 4.7865 18.9113 Å, 90.00 90.00 90.00°
Atoms (fractional coordinates):
Pr1 0.0000 0.0000 0.0000
Pr2 0.0000 0.0000 0.2525
Pr3 0.0000 0.0000 0.7475
Tm1 0.0000 0.0000 0.5000
Sn1 0.0000 0.5000 0.1267
Sn2 0.0000 0.5000 0.3805
Sn3 0.0000 0.5000 0.6195
Sn4 0.0000 0.5000 0.8733
Sn5 0.5000 0.0000 0.1267
Sn6 0.5000 0.0000 0.3805
Sn7 0.5000 0.0000 0.6195
Sn8 0.5000 0.0000 0.8733
Sn9 0.5000 0.5000 0.0000
Sn10 0.5000 0.5000 0.2539
Sn11 0.5000 0.5000 0.5000
Sn12 0.5000 0.5000 0.7461


[7]
Diffraction record for Pr2TmSn3. The XRD peak list is calculated, not measured: it uses a cell relaxed with GGA-PBE and Cu Kα, 1.54184 Å.

Peak list (6 most intense, 15 to 90 degrees two-theta, by intensity)
29.3 deg, d = 3.049 Å, I = 100; 41.0 deg, d = 2.201 Å, I = 81; 28.1 deg, d = 3.180 Å, I = 59; 34.4 deg, d = 2.604 Å, I = 35; 45.0 deg, d = 2.015 Å, I = 33; 66.2 deg, d = 1.412 Å, I = 20

Structural model:
Cell: 6.9807 6.9807 6.9807 Å, 136.20 125.80 72.14°
Atoms (fractional coordinates):
Pr1 0.1749 0.1749 0.0000
Pr2 0.8251 0.8251 0.0000
Tm1 0.5000 0.5000 0.0000
Sn1 0.0000 0.5000 0.5000
Sn2 0.3545 0.8545 0.5000
Sn3 0.6455 0.1455 0.5000


[8]
Diffraction record for PrY2Sn2. The XRD peak list is calculated, not measured: it uses a cell relaxed with GGA-PBE and Cu Kα, 1.54184 Å.

Peak list (6 most intense, 15 to 90 degrees two-theta, by intensity)
29.8 deg, d = 2.998 Å, I = 100; 29.2 deg, d = 3.057 Å, I = 77; 31.0 deg, d = 2.886 Å, I = 77; 31.6 deg, d = 2.833 Å, I = 73; 35.9 deg, d = 2.504 Å, I = 54; 44.1 deg, d = 2.055 Å, I = 45

Structural model:
Cell: 5.7024 4.1100 13.2498 Å, 90.00 96.95 90.00°
Atoms (fractional coordinates):
Pr1 0.1983 0.2500 0.2469
Pr2 0.8017 0.7500 0.7531
Y1 0.2449 0.7500 0.4708
Y2 0.3316 0.2500 0.8911
Y3 0.6684 0.7500 0.1089
Y4 0.7551 0.2500 0.5292
Sn1 0.1641 0.7500 0.0466
Sn2 0.2866 0.2500 0.6594
Sn3 0.7134 0.7500 0.3406
Sn4 0.8359 0.2500 0.9534


> What is the formula in the fourth record?

Pr4Tl3Sn